(1)
This entry pairs a crystal structure of BaMnSe3 with its simulated powder X-ray diffraction pattern. Radiation: a wavelength of 1.5418 Å. Structure: a DFT-relaxed cell (GGA-PBE, Alexandria).

Cell and atoms:
```
BaMnSe3
1.0
6.6844 0.0000 0.0000
0.0000 6.6844 0.0000
0.0000 0.0000 5.7533
Ba Mn Se
2 2 6
Cartesian
0.0000 3.3422 0.0000
3.3422 0.0000 0.0000
0.0000 0.0000 2.8767
3.3422 3.3422 2.8767
0.0000 0.0000 0.0000
1.1269 2.2154 2.8767
2.2154 5.5576 2.8767
3.3422 3.3422 0.0000
4.4691 1.1269 2.8767
5.5576 4.4691 2.8767
```

Main lines, by angle (2θ from 10° to 90°):
two_theta, I/Imax
26.67, 45
29.89, 27
30.94, 100
31.09, 80
33.79, 39
38.08, 48
41.41, 27
45.73, 40
49.94, 43
71.08, 29



(2)
This entry pairs a crystal structure of Ba3UMnSe6 with its simulated powder X-ray diffraction pattern. Radiation: a wavelength of 1.5418 Å. Structure: a DFT-relaxed cell (GGA-PBE, Alexandria).

Cell and atoms:
```
Ba3UMnSe6
1.0
6.3249 3.6517 4.7512
-6.3249 3.6517 4.7512
0.0000 -7.3034 4.7512
Ba U Mn Se
6 2 2 12
Cartesian
-3.9082 0.5342 5.9391
-2.4167 -3.1176 8.3147
1.4915 -3.6517 5.9391
-1.4915 3.6517 8.3147
2.4167 3.1176 5.9391
3.9082 -0.5341 8.3147
0.0000 0.0000 3.5634
0.0000 0.0000 10.6903
0.0000 0.0000 0.0000
0.0000 0.0000 7.1269
-5.5180 -1.6614 7.8384
-1.3202 -5.6094 6.4153
-1.3202 -1.6940 5.4628
-4.1978 3.9480 6.4153
-0.8070 1.9903 5.4628
-2.1271 0.2963 8.7909
2.1271 -0.2963 5.4628
0.8070 -1.9903 8.7909
4.1978 -3.9480 7.8384
1.3202 1.6940 8.7909
1.3202 5.6094 7.8384
5.5180 1.6614 6.4153
```

Main lines, by angle (2θ from 10° to 90°):
two_theta, I/Imax
14.00, 40
23.42, 36
24.38, 64
24.87, 48
29.91, 44
30.07, 85
33.17, 74
34.06, 100
37.93, 64
44.09, 59